Structure and calculated X-ray diffraction stick pattern of KAc4Pb3O12 (DFT lattice parameters and positions (GGA-PBE); Cu Kα (weighted mean of Kα1 and Kα2)).

Top 8 peaks for 2θ = 10–80°, in order of falling intensity:
two_theta  I_rel
27.6  100.0
48.8  49.4
78.2  23.2
39.4  21.5
64.4  20.5
56.9  14.1
13.7  6.9
71.4  5.3

```
20
Lattice="-4.574 4.574 4.574 4.574 -4.574 4.574 4.574 4.574 -4.574" Properties=species:S:1:pos:R:3 pbc="T T T"
K 0.000 0.000 0.000
Ac 2.287 2.287 -2.287
Ac 2.287 -2.287 2.287
Ac -2.287 2.287 2.287
Ac 2.287 2.287 2.287
Pb 4.574 0.000 0.000
Pb 0.000 4.574 0.000
Pb 0.000 0.000 4.574
O 4.574 -1.585 3.062
O 2.989 1.512 0.000
O 6.158 1.512 0.000
O 3.062 4.574 -1.585
O 1.512 0.000 2.989
O 0.000 2.989 1.512
O 4.574 1.585 3.062
O 3.062 4.574 1.585
O 1.512 0.000 6.158
O -1.585 3.062 4.574
O 1.585 3.062 4.574
O 0.000 6.158 1.512
```